For NiH15IO12, a crystal structure in the Materials Project, relaxed with GGA+U gives the calculated powder diffraction line list in this record (copper Kα).

Largest 10 diffraction maxima, by angle, 10° ≤ 2θ ≤ 90°:
- 2θ = 12.91°, I 39
- 2θ = 18.05°, I 81
- 2θ = 18.54°, I 100
- 2θ = 19.05°, I 96
- 2θ = 19.91°, I 72
- 2θ = 25.99°, I 54
- 2θ = 26.35°, I 66
- 2θ = 27.00°, I 54
- 2θ = 37.12°, I 26
- 2θ = 44.62°, I 28

Structure:
Unit cell a=5.1868 b=9.8288 c=10.6567 alpha=90.00 beta=116.08 gamma=90.00
Element x y z (fractional)
Ni 0.0000 0.2135 0.0000
Ni 0.0000 0.7865 0.5000
H 0.0070 0.4214 0.8391
H 0.0070 0.5786 0.3391
H 0.0188 0.1234 0.2417
H 0.0188 0.8766 0.7417
H 0.0416 0.3701 0.2795
H 0.0416 0.6299 0.7795
H 0.0553 0.2789 0.7746
H 0.0553 0.7211 0.2746
H 0.2800 0.0135 0.4828
H 0.2800 0.9865 0.9828
H 0.3214 0.4289 0.1403
H 0.3214 0.5711 0.6403
H 0.4652 0.2972 0.2298
H 0.4652 0.7028 0.7298
H 0.4895 0.3356 0.9347
H 0.4895 0.6644 0.4347
H 0.5099 0.1374 0.7686
H 0.5099 0.8626 0.2686
H 0.5229 0.3828 0.5703
H 0.5229 0.6172 0.0703
H 0.5240 0.0951 0.0696
H 0.5240 0.9049 0.5696
H 0.5363 0.1875 0.4151
H 0.5363 0.8125 0.9151
H 0.6898 0.0056 0.8463
H 0.6898 0.9944 0.3463
H 0.7471 0.4446 0.0063
H 0.7471 0.5554 0.5063
H 0.9877 0.0070 0.6464
H 0.9877 0.9930 0.1464
I 0.0339 0.2820 0.4980
I 0.0339 0.7180 0.9980
O 0.0968 0.3296 0.8624
O 0.0968 0.6704 0.3624
O 0.1286 0.1726 0.6533
O 0.1286 0.8274 0.1533
O 0.2248 0.1737 0.4208
O 0.2248 0.8263 0.9208
O 0.2780 0.3383 0.1686
O 0.2780 0.6617 0.6686
O 0.3165 0.0849 0.0075
O 0.3165 0.9151 0.5075
O 0.3637 0.4005 0.5989
O 0.3637 0.5995 0.0989
O 0.6872 0.1731 0.3802
O 0.6872 0.8269 0.8802
O 0.6961 0.3448 0.9966
O 0.6961 0.6552 0.4966
O 0.7066 0.1036 0.8290
O 0.7066 0.8964 0.3290
O 0.8119 0.3981 0.5443
O 0.8119 0.6019 0.0443
O 0.9224 0.0894 0.1437
O 0.9224 0.9106 0.6437
O 0.9306 0.4020 0.3294
O 0.9306 0.5980 0.8294



For BaTlCo2O6, a crystal structure in the Materials Project, relaxed with GGA+U gives the calculated powder diffraction line list in this record (copper Kα).

Largest 10 diffraction maxima, by angle, 10° ≤ 2θ ≤ 90°:
- 2θ = 27.78°, I 100
- 2θ = 29.87°, I 99
- 2θ = 30.76°, I 33
- 2θ = 32.31°, I 25
- 2θ = 34.59°, I 63
- 2θ = 34.78°, I 56
- 2θ = 46.95°, I 37
- 2θ = 49.75°, I 58
- 2θ = 57.91°, I 27
- 2θ = 59.09°, I 30

Structure:
Unit cell a=23.4004 b=23.4004 c=23.4004 alpha=171.01 beta=171.01 gamma=12.73
Element x y z (fractional)
Ba 0.1568 0.1568 0.0000
Ba 0.8432 0.8432 0.0000
Tl 0.2764 0.2764 0.0000
Tl 0.7236 0.7236 0.0000
Co 0.3918 0.3918 0.0000
Co 0.4617 0.4617 0.0000
Co 0.5383 0.5383 0.0000
Co 0.6082 0.6082 0.0000
O 0.0379 0.5379 0.5000
O 0.1159 0.6159 0.5000
O 0.2305 0.2305 0.0000
O 0.3207 0.3207 0.0000
O 0.3841 0.8841 0.5000
O 0.4621 0.9621 0.5000
O 0.5380 0.0380 0.5000
O 0.6117 0.1117 0.5000
O 0.6793 0.6793 0.0000
O 0.7695 0.7695 0.0000
O 0.8883 0.3883 0.5000
O 0.9620 0.4620 0.5000



Which formula does entry 2 have? BaTlCo2O6



What is the formula in the second record? BaTlCo2O6